Diffraction record for Tl16Sn12Sb. The powder diffraction line list is computed, not measured: it uses a crystal structure in Alexandria, relaxed with GGA-PBE and a wavelength of 1.5418 Å.
Lines closer than 0.1° are merged.

Structure:
Cell: 10.3653 10.3653 10.4595 Å, 109.00 109.00 108.56°
Fractional positions:
Tl1 0.0000 0.0000 0.0000
Tl2 0.0013 0.6013 0.3202
Tl3 0.0022 0.0022 0.3584
Tl4 0.2933 0.6775 0.6878
Tl5 0.3195 0.9942 0.5979
Tl6 0.3260 0.5936 0.9931
Tl7 0.3584 0.9989 0.9939
Tl8 0.4008 0.7068 0.3969
Tl9 0.5936 0.3260 0.9931
Tl10 0.6013 0.0013 0.3202
Tl11 0.6416 0.6416 0.6605
Tl12 0.6775 0.2933 0.6878
Tl13 0.6829 0.6829 0.2890
Tl14 0.7068 0.4008 0.3969
Tl15 0.9942 0.3195 0.5979
Tl16 0.9989 0.3584 0.9939
Sn1 0.0024 0.6377 0.8176
Sn2 0.0040 0.8194 0.6374
Sn3 0.1751 0.3630 0.3647
Sn4 0.1891 0.1891 0.8134
Sn5 0.1900 0.8177 0.1829
Sn6 0.3559 0.3559 0.1694
Sn7 0.3630 0.1751 0.3647
Sn8 0.6377 0.0024 0.8176
Sn9 0.6426 0.8235 0.0098
Sn10 0.8177 0.1900 0.1829
Sn11 0.8194 0.0040 0.6374
Sn12 0.8235 0.6426 0.0098
Sb1 0.3664 0.3664 0.6806

Top 10 peaks for 10 to 90 degrees two-theta, in order of rising 2θ:
d_spacing	two_theta	Rel. int.
3.022	29.55	16
2.894	30.90	25
2.878	31.07	100
2.851	31.38	73
2.836	31.54	53
2.823	31.69	84
2.805	31.90	20
2.565	34.99	22
2.547	35.23	16
1.644	55.93	18

---

Diffraction record for Tl12Sn2Sb. The powder diffraction line list is computed, not measured: it uses a crystal structure in Alexandria, relaxed with GGA-PBE and a wavelength of 1.5418 Å.
Lines closer than 0.1° are merged.

Structure:
Cell: 6.6530 6.6530 22.8950 Å, 90.00 90.00 90.00°
Fractional positions:
Tl1 0.0000 0.0000 0.0964
Tl2 0.0000 0.0000 0.9036
Tl3 0.0000 0.5000 0.0964
Tl4 0.0000 0.5000 0.9036
Tl5 0.0774 0.5774 0.4326
Tl6 0.0774 0.9226 0.5674
Tl7 0.2500 0.2500 0.2034
Tl8 0.2500 0.2500 0.3364
Tl9 0.2500 0.2500 0.6636
Tl10 0.2500 0.2500 0.7966
Tl11 0.4226 0.5774 0.5674
Tl12 0.4226 0.9226 0.4326
Tl13 0.5000 0.0000 0.0964
Tl14 0.5000 0.0000 0.9036
Tl15 0.5000 0.5000 0.0964
Tl16 0.5000 0.5000 0.9036
Tl17 0.5774 0.0774 0.5674
Tl18 0.5774 0.4226 0.4326
Tl19 0.7500 0.7500 0.2034
Tl20 0.7500 0.7500 0.3364
Tl21 0.7500 0.7500 0.6636
Tl22 0.7500 0.7500 0.7966
Tl23 0.9226 0.0774 0.4326
Tl24 0.9226 0.4226 0.5674
Sn1 0.2500 0.7500 0.2957
Sn2 0.2500 0.7500 0.7043
Sn3 0.7500 0.2500 0.2957
Sn4 0.7500 0.2500 0.7043
Sb1 0.2500 0.7500 0.0000
Sb2 0.7500 0.2500 0.0000

Top 10 peaks for 10 to 90 degrees two-theta, in order of rising 2θ:
d_spacing	two_theta	Rel. int.
4.351	20.41	43
3.194	27.93	91
3.049	29.29	31
2.877	31.08	52
2.772	32.29	28
2.687	33.35	70
2.507	35.81	100
2.352	38.27	77
1.414	66.06	30
1.387	67.55	35

---

Diffraction record for Tl3SnSb. The powder diffraction line list is computed, not measured: it uses a crystal structure in Alexandria, relaxed with GGA-PBE and a wavelength of 1.5418 Å.
Lines closer than 0.1° are merged.

Structure:
Cell: 12.1473 12.1473 4.2710 Å, 90.00 90.00 90.00°
Fractional positions:
Tl1 0.0007 0.3410 0.0000
Tl2 0.1238 0.1238 0.5000
Tl3 0.1590 0.5007 0.5000
Tl4 0.3410 0.0007 0.0000
Tl5 0.3762 0.6238 0.0000
Tl6 0.4993 0.8410 0.5000
Tl7 0.5007 0.1590 0.5000
Tl8 0.6238 0.3762 0.0000
Tl9 0.6590 0.9993 0.0000
Tl10 0.8410 0.4993 0.5000
Tl11 0.8762 0.8762 0.5000
Tl12 0.9993 0.6590 0.0000
Sn1 0.0994 0.9006 0.0000
Sn2 0.4006 0.4006 0.5000
Sn3 0.5994 0.5994 0.5000
Sn4 0.9006 0.0994 0.0000
Sb1 0.2215 0.7785 0.5000
Sb2 0.2785 0.2785 0.0000
Sb3 0.7215 0.7215 0.0000
Sb4 0.7785 0.2215 0.5000

Top 10 peaks for 10 to 90 degrees two-theta, in order of rising 2θ:
d_spacing	two_theta	Rel. int.
3.359	26.54	20
3.029	29.49	33
2.939	30.42	100
2.860	31.28	85
2.716	32.98	29
2.426	37.06	17
2.382	37.77	25
2.135	42.32	23
1.712	53.53	19
1.667	55.09	18

---

Diffraction record for Tl12SnSb2. The powder diffraction line list is computed, not measured: it uses a crystal structure in Alexandria, relaxed with GGA-PBE and a wavelength of 1.5418 Å.
Lines closer than 0.1° are merged.

Structure:
Cell: 4.7137 4.7137 24.7825 Å, 90.00 90.00 90.00°
Fractional positions:
Tl1 0.0000 0.0000 0.1833
Tl2 0.0000 0.0000 0.3131
Tl3 0.0000 0.0000 0.6869
Tl4 0.0000 0.0000 0.8167
Tl5 0.0000 0.5000 0.0851
Tl6 0.0000 0.5000 0.4296
Tl7 0.0000 0.5000 0.5704
Tl8 0.0000 0.5000 0.9149
Tl9 0.5000 0.0000 0.0851
Tl10 0.5000 0.0000 0.4296
Tl11 0.5000 0.0000 0.5704
Tl12 0.5000 0.0000 0.9149
Sn1 0.5000 0.5000 0.0000
Sb1 0.5000 0.5000 0.3361
Sb2 0.5000 0.5000 0.6639

Top 10 peaks for 10 to 90 degrees two-theta, in order of rising 2θ:
d_spacing	two_theta	Rel. int.
6.196	14.30	13
4.406	20.16	17
3.219	27.72	53
3.098	28.81	21
2.593	34.59	100
2.357	38.19	43
1.876	48.53	20
1.667	55.11	15
1.480	62.79	11
1.402	66.71	29